Diffraction record for YHoBeAl. The X-ray diffraction stick pattern is calculated, not measured: it uses DFT lattice parameters and positions (GGA-PBE) and λ = 1.5418 Å (Cu Kα).

Structure:
```
data_YHoBeAl
_chemical_formula_sum 'Y1 Ho1 Be1 Al1'
_symmetry_space_group_name_H-M 'P 1'
_symmetry_Int_Tables_number 1
_symmetry_space_group_name_Hall 'P 1'
_cell_length_a 4.9753
_cell_length_b 4.9753
_cell_length_c 4.9753
_cell_angle_alpha 60.00
_cell_angle_beta 60.00
_cell_angle_gamma 60.00
loop_
_atom_site_label
_atom_site_type_symbol
_atom_site_fract_x
_atom_site_fract_y
_atom_site_fract_z
Y1 Y 0.0000 0.0000 0.0000
Ho1 Ho 0.5000 0.5000 0.5000
Be1 Be 0.7500 0.7500 0.7500
Al1 Al 0.2500 0.2500 0.2500
```

Peak list (10 most intense, 2θ from 10° to 90°, sorted by position)
- 21.88°, I 16
- 25.32°, I 74
- 36.11°, I 100
- 44.61°, I 22
- 51.99°, I 17
- 58.68°, I 29
- 64.93°, I 35
- 76.60°, I 11
- 82.20°, I 14
- 87.73°, I 16